1.
Starting from a crystal structure in the Materials Project, relaxed with PBE+U, the X-ray diffraction stick pattern of Cs2WO8 was computed for CuKα.
Peak positions follow from Bragg's law for the DFT cell and can differ from measured ones.

Crystal structure
Cell lengths 7.2456, 9.3099, 14.2169 Å; angles 90.00, 116.23, 90.00 degrees
Fractional positions:
Cs: 0.0111 0.0143 0.2647
Cs: 0.0111 0.4857 0.7647
Cs: 0.3375 0.1934 0.0874
Cs: 0.3375 0.3066 0.5874
Cs: 0.6625 0.6934 0.4126
Cs: 0.6625 0.8066 0.9126
Cs: 0.9889 0.5143 0.2353
Cs: 0.9889 0.9857 0.7353
W: 0.3285 0.7123 0.0831
W: 0.3285 0.7877 0.5831
W: 0.6715 0.2123 0.4169
W: 0.6715 0.2877 0.9169
O: 0.1001 0.7001 0.6086
O: 0.1001 0.7999 0.1086
O: 0.1601 0.7263 0.9273
O: 0.1601 0.7737 0.4273
O: 0.2095 0.5165 0.0779
O: 0.2095 0.9835 0.5779
O: 0.2895 0.6419 0.4702
O: 0.2895 0.8581 0.9702
O: 0.3068 0.6357 0.6772
O: 0.3068 0.8643 0.1772
O: 0.3595 0.5572 0.1876
O: 0.3595 0.9428 0.6876
O: 0.3677 0.2477 0.3487
O: 0.3677 0.2523 0.8487
O: 0.4269 0.1340 0.4320
O: 0.4269 0.3660 0.9320
O: 0.5731 0.6340 0.0680
O: 0.5731 0.8660 0.5680
O: 0.6323 0.7477 0.1513
O: 0.6323 0.7523 0.6513
O: 0.6405 0.0572 0.3124
O: 0.6405 0.4428 0.8124
O: 0.6932 0.1357 0.8228
O: 0.6932 0.3643 0.3228
O: 0.7105 0.1419 0.0298
O: 0.7105 0.3581 0.5298
O: 0.7905 0.0165 0.4221
O: 0.7905 0.4835 0.9221
O: 0.8399 0.2263 0.5727
O: 0.8399 0.2737 0.0727
O: 0.8999 0.2001 0.8914
O: 0.8999 0.2999 0.3914

Top 6 peaks for 10° ≤ 2θ ≤ 90°, by intensity:
2θ 23.48, I 100
2θ 24.64, I 53
2θ 23.66, I 44
2θ 25.09, I 42
2θ 24.06, I 31
2θ 35.20, I 19

---

2.
Starting from a crystal structure in the Materials Project, relaxed with PBE+U, the X-ray diffraction stick pattern of CsW3O9 was computed for CuKα.
Peak positions follow from Bragg's law for the DFT cell and can differ from measured ones.

Crystal structure
Cell lengths 7.5447, 7.5447, 3.8875 Å; angles 90.00, 90.00, 120.00 degrees
Fractional positions:
Cs: 0.0000 0.0000 0.0000
W: 0.0000 0.5000 0.5000
W: 0.5000 0.0000 0.5000
W: 0.5000 0.5000 0.5000
O: 0.0000 0.5000 0.0000
O: 0.2108 0.4217 0.5000
O: 0.2108 0.7892 0.5000
O: 0.4217 0.2108 0.5000
O: 0.5000 0.0000 0.0000
O: 0.5000 0.5000 0.0000
O: 0.5783 0.7892 0.5000
O: 0.7892 0.2108 0.5000
O: 0.7892 0.5783 0.5000

Top 6 peaks for 10° ≤ 2θ ≤ 90°, by intensity:
2θ 27.30, I 100
2θ 26.68, I 43
2θ 54.97, I 29
2θ 48.25, I 25
2θ 33.09, I 24
2θ 22.88, I 24

---

3.
Starting from a crystal structure in the Materials Project, relaxed with PBE+U, the X-ray diffraction stick pattern of CsYW2O8 was computed for CuKα.
Peak positions follow from Bragg's law for the DFT cell and can differ from measured ones.

Crystal structure
Cell lengths 7.7034, 7.7034, 7.5719 Å; angles 117.42, 117.42, 88.57 degrees
Fractional positions:
Cs: 0.1979 0.8021 0.7500
Cs: 0.8021 0.1979 0.2500
Y: 0.2226 0.7774 0.2500
Y: 0.7774 0.2226 0.7500
W: 0.3019 0.3137 0.2856
W: 0.3137 0.3019 0.7856
W: 0.6863 0.6981 0.2144
W: 0.6981 0.6863 0.7144
O: 0.0509 0.2234 0.7025
O: 0.0606 0.3689 0.1260
O: 0.2234 0.0509 0.2025
O: 0.2537 0.3786 0.5665
O: 0.3689 0.0606 0.6260
O: 0.3728 0.5919 0.0362
O: 0.3786 0.2537 0.0665
O: 0.4081 0.6272 0.4638
O: 0.5919 0.3728 0.5362
O: 0.6214 0.7463 0.9335
O: 0.6272 0.4081 0.9638
O: 0.6311 0.9394 0.3740
O: 0.7463 0.6214 0.4335
O: 0.7766 0.9491 0.7975
O: 0.9394 0.6311 0.8740
O: 0.9491 0.7766 0.2975

Top 6 peaks for 10° ≤ 2θ ≤ 90°, by intensity:
2θ 28.87, I 100
2θ 26.85, I 94
2θ 30.85, I 42
2θ 27.01, I 34
2θ 32.89, I 31
2θ 16.48, I 30

---

4.
Starting from a crystal structure in the Materials Project, relaxed with PBE+U, the X-ray diffraction stick pattern of Cs2ZrW3O12 was computed for CuKα.
Peak positions follow from Bragg's law for the DFT cell and can differ from measured ones.

Crystal structure
Cell lengths 7.4541, 7.4541, 7.5766 Å; angles 119.42, 119.42, 59.98 degrees
Fractional positions:
Cs: 0.1366 0.1366 0.3880
Cs: 0.8634 0.8634 0.6120
Zr: 0.5232 0.4768 0.5000
W: 0.0233 0.4766 0.0002
W: 0.5234 0.9767 0.9998
W: 0.5238 0.4762 0.0000
O: 0.1953 0.5367 0.2978
O: 0.2178 0.1675 0.9474
O: 0.2179 0.5361 0.9466
O: 0.4634 0.4092 0.7020
O: 0.4633 0.8047 0.7022
O: 0.4639 0.7821 0.0534
O: 0.5876 0.1677 0.9479
O: 0.5886 0.1459 0.2979
O: 0.5908 0.5366 0.2980
O: 0.8323 0.4124 0.0521
O: 0.8325 0.7822 0.0526
O: 0.8541 0.4114 0.7021

Top 6 peaks for 10° ≤ 2θ ≤ 90°, by intensity:
2θ 27.88, I 100
2θ 28.06, I 89
2θ 29.27, I 76
2θ 27.54, I 42
2θ 48.03, I 42
2θ 48.88, I 42